Entry 1:
For Si3SnH12, a crystal structure in Alexandria, relaxed with PBE gives the computed powder diffractogram in this record (Cu Kα).

Crystal structure
Unit cell a=9.5293 b=9.5293 c=9.5293 alpha=48.21 beta=48.21 gamma=48.21
Element x y z (fractional)
Si 0.9996 0.3024 0.6979
Si 0.1979 0.8024 0.4996
Si 0.3024 0.6979 0.9996
Si 0.4996 0.1979 0.8024
Si 0.6980 0.9996 0.3024
Si 0.8024 0.4996 0.1979
Sn 0.1050 0.1050 0.1050
Sn 0.6050 0.6050 0.6050
H 0.0087 0.4052 0.1914
H 0.1165 0.3039 0.4895
H 0.1518 0.1731 0.8007
H 0.1731 0.8007 0.1518
H 0.1914 0.0087 0.4052
H 0.1920 0.8428 0.8623
H 0.3007 0.6731 0.6518
H 0.3039 0.4895 0.1165
H 0.3428 0.6920 0.3623
H 0.3623 0.3428 0.6920
H 0.4052 0.1915 0.0087
H 0.4895 0.1165 0.3039
H 0.5087 0.6914 0.9052
H 0.6165 0.9895 0.8039
H 0.6518 0.3007 0.6731
H 0.6731 0.6518 0.3007
H 0.6914 0.9052 0.5087
H 0.6920 0.3623 0.3428
H 0.8007 0.1518 0.1731
H 0.8039 0.6165 0.9895
H 0.8428 0.8623 0.1920
H 0.8623 0.1920 0.8428
H 0.9052 0.5087 0.6914
H 0.9895 0.8039 0.6165

Main lines, low angle first (10 to 80 degrees two-theta):
| 2θ/deg | I/Imax |
| --- | --- |
| 14.9 | 100 |
| 19.3 | 42 |
| 25.2 | 24 |
| 27.4 | 21 |
| 30.1 | 22 |
| 31.3 | 69 |
| 36.0 | 22 |
| 38.1 | 35 |
| 40.1 | 21 |
| 49.3 | 21 |

---

Entry 2:
For Ac5Tb2Nd2, a crystal structure in Alexandria, relaxed with PBE gives the computed powder diffractogram in this record (Cu Kα).

Crystal structure
Unit cell a=6.6070 b=6.6250 c=8.6018 alpha=82.37 beta=74.92 gamma=80.13
Element x y z (fractional)
Ac 0.0000 0.0000 0.0000
Ac 0.3275 0.6649 0.6716
Ac 0.4371 0.8888 0.2243
Ac 0.5629 0.1112 0.7757
Ac 0.6725 0.3351 0.3284
Tb 0.2233 0.4491 0.1114
Tb 0.7767 0.5509 0.8886
Nd 0.1095 0.2305 0.5501
Nd 0.8905 0.7695 0.4499

Main lines, low angle first (10 to 80 degrees two-theta):
| 2θ/deg | I/Imax |
| --- | --- |
| 28.6 | 100 |
| 32.9 | 17 |
| 33.1 | 17 |
| 33.3 | 17 |
| 47.4 | 13 |
| 47.7 | 12 |
| 56.1 | 12 |
| 56.4 | 15 |
| 56.6 | 8 |
| 59.2 | 10 |

---

Entry 3:
For Ca2LaIrAu, a crystal structure in Alexandria, relaxed with PBE gives the computed powder diffractogram in this record (Cu Kα).

Crystal structure
Unit cell a=5.4694 b=5.4694 c=5.4860 alpha=90.00 beta=90.00 gamma=90.00
Element x y z (fractional)
Ca 0.0000 0.5000 0.0000
Ca 0.5000 0.0000 0.0000
La 0.0000 0.0000 0.5296
Ir 0.0000 0.0000 0.0476
Au 0.5000 0.5000 0.6482

Main lines, low angle first (10 to 80 degrees two-theta):
| 2θ/deg | I/Imax |
| --- | --- |
| 16.2 | 18 |
| 23.0 | 100 |
| 28.2 | 16 |
| 32.7 | 49 |
| 36.7 | 29 |
| 40.3 | 40 |
| 46.9 | 39 |
| 50.0 | 20 |
| 52.9 | 18 |
| 63.6 | 16 |

---

Entry 4:
For Ca2ZnCu16, a crystal structure in Alexandria, relaxed with PBE gives the computed powder diffractogram in this record (Cu Kα).

Crystal structure
Unit cell a=6.5024 b=6.5024 c=6.5024 alpha=82.89 beta=82.89 gamma=82.89
Element x y z (fractional)
Ca 0.0000 0.0000 0.0000
Ca 0.3118 0.3118 0.3118
Zn 0.7500 0.7500 0.7500
Cu 0.1545 0.6532 0.6532
Cu 0.3115 0.3115 0.8049
Cu 0.3115 0.8049 0.3115
Cu 0.3568 0.6533 0.9497
Cu 0.3568 0.9497 0.6533
Cu 0.5010 0.9969 0.9969
Cu 0.5553 0.5553 0.5553
Cu 0.6532 0.1545 0.6532
Cu 0.6533 0.3568 0.9497
Cu 0.6532 0.6532 0.1545
Cu 0.6533 0.9497 0.3568
Cu 0.8049 0.3115 0.3115
Cu 0.9497 0.3568 0.6533
Cu 0.9497 0.6533 0.3568
Cu 0.9969 0.5010 0.9969
Cu 0.9969 0.9969 0.5010

Main lines, low angle first (10 to 80 degrees two-theta):
| 2θ/deg | I/Imax |
| --- | --- |
| 13.8 | 31 |
| 20.6 | 26 |
| 36.1 | 27 |
| 37.4 | 23 |
| 42.0 | 59 |
| 42.3 | 92 |
| 43.1 | 44 |
| 47.5 | 100 |
| 48.3 | 33 |
| 76.7 | 20 |

---

Please write out number 3 again, unchanged.
For Ca2LaIrAu, a crystal structure in Alexandria, relaxed with PBE gives the computed powder diffractogram in this record (Cu Kα).

Crystal structure
Unit cell a=5.4694 b=5.4694 c=5.4860 alpha=90.00 beta=90.00 gamma=90.00
Element x y z (fractional)
Ca 0.0000 0.5000 0.0000
Ca 0.5000 0.0000 0.0000
La 0.0000 0.0000 0.5296
Ir 0.0000 0.0000 0.0476
Au 0.5000 0.5000 0.6482

Main lines, low angle first (10 to 80 degrees two-theta):
| 2θ/deg | I/Imax |
| --- | --- |
| 16.2 | 18 |
| 23.0 | 100 |
| 28.2 | 16 |
| 32.7 | 49 |
| 36.7 | 29 |
| 40.3 | 40 |
| 46.9 | 39 |
| 50.0 | 20 |
| 52.9 | 18 |
| 63.6 | 16 |